[1]
Starting from a structure optimized by DFT (GGA-PBE), the PXRD pattern of Hf3Pt was calculated for Cu Kα (λ = 1.5418 Å).

Structure:
```
data_Hf3Pt
_space_group_name_H-M_alt 'P m -3 m'
_space_group_IT_number 221
_space_group_name_Hall '-P 4 2 3'
_cell_length_a 4.305
_cell_length_b 4.305
_cell_length_c 4.305
_cell_angle_alpha 90.00
_cell_angle_beta 90.00
_cell_angle_gamma 90.00
loop_
_atom_site_label
_atom_site_type_symbol
_atom_site_fract_x
_atom_site_fract_y
_atom_site_fract_z
_atom_site_occupancy
Hf1 Hf 0.000 0.000 0.500 1
Pt1 Pt 0.500 0.500 0.500 1
```

Main lines, sorted by position (15 to 90 degrees two-theta):
36.1 deg, rel. 100
42.0 deg, rel. 50
60.9 deg, rel. 34
72.9 deg, rel. 40
76.7 deg, rel. 12

***

[2]
Starting from a structure optimized by DFT (GGA-PBE), the PXRD pattern of Cs2InCuF6 was calculated for Cu Kα (λ = 1.5418 Å).

Structure:
```
data_Cs2InCuF6
_space_group_name_H-M_alt 'F m -3 m'
_space_group_IT_number 225
_space_group_name_Hall '-F 4 2 3'
_cell_length_a 8.943
_cell_length_b 8.943
_cell_length_c 8.943
_cell_angle_alpha 90.00
_cell_angle_beta 90.00
_cell_angle_gamma 90.00
loop_
_atom_site_label
_atom_site_type_symbol
_atom_site_fract_x
_atom_site_fract_y
_atom_site_fract_z
_atom_site_occupancy
Cs1 Cs 0.250 0.250 0.250 1
In1 In 0.000 0.000 0.000 1
Cu1 Cu 0.000 0.000 0.500 1
F1 F 0.000 0.000 0.240 1
```

Main lines, sorted by position (15 to 90 degrees two-theta):
28.2 deg, rel. 100
34.7 deg, rel. 8
40.3 deg, rel. 36
50.0 deg, rel. 41
58.4 deg, rel. 22
66.1 deg, rel. 18
73.3 deg, rel. 7
80.3 deg, rel. 21

***

[3]
Starting from a structure optimized by DFT (GGA-PBE), the PXRD pattern of ErGePd2 was calculated for Cu Kα (λ = 1.5418 Å).

Structure:
```
data_ErGePd2
_space_group_name_H-M_alt 'P n m a'
_space_group_IT_number 62
_space_group_name_Hall '-P 2ac 2n'
_cell_length_a 7.328
_cell_length_b 7.154
_cell_length_c 5.604
_cell_angle_alpha 90.00
_cell_angle_beta 90.00
_cell_angle_gamma 90.00
loop_
_atom_site_label
_atom_site_type_symbol
_atom_site_fract_x
_atom_site_fract_y
_atom_site_fract_z
_atom_site_occupancy
Er1 Er 0.025 0.250 0.144 1
Ge1 Ge 0.122 0.750 0.359 1
Pd1 Pd 0.183 0.051 0.588 1
```

Main lines, sorted by position (15 to 90 degrees two-theta):
31.7 deg, rel. 55
32.1 deg, rel. 40
35.1 deg, rel. 76
36.6 deg, rel. 100
38.7 deg, rel. 42
40.3 deg, rel. 60
42.8 deg, rel. 32
43.0 deg, rel. 39